Computed powder XRD pattern
Compound: Y5Br3
Radiation: copper Kα
Structure: a structure optimized by DFT (GGA-PBE)
Intensities are scaled so that the largest is 100.

Structure:
```
data_Y5Br3
_chemical_formula_sum 'Y10 Br6'
_symmetry_space_group_name_H-M 'C m m m'
_symmetry_Int_Tables_number 65
_symmetry_space_group_name_Hall '-C 2 2'
_cell_length_a 7.101
_cell_length_b 11.915
_cell_length_c 5.559
_cell_angle_alpha 90.00
_cell_angle_beta 90.00
_cell_angle_gamma 90.00
loop_
_atom_site_label
_atom_site_type_symbol
_atom_site_fract_x
_atom_site_fract_y
_atom_site_fract_z
_atom_site_occupancy
Y1 Y 0.000 0.000 0.000 1
Y2 Y 0.248 0.000 0.500 1
Y3 Y 0.250 0.250 0.000 1
Br1 Br 0.000 0.306 0.500 1
Br2 Br 0.000 0.500 0.000 1
```

Most intense lines, 2θ from 15° to 90°, by intensity:
index  Position (°2θ)  I/Imax
2 2 1  33.5  100
0 0 2  32.2  31
0 4 0  30.0  24
2 2 3  58.3  20
0 4 2  44.6  17
2 6 1  55.5  11

***

Computed powder XRD pattern
Compound: Y5Br
Radiation: copper Kα
Structure: a structure optimized by DFT (GGA-PBE)
Intensities are scaled so that the largest is 100.

Structure:
```
data_Y5Br
_chemical_formula_sum 'Y10 Br2'
_symmetry_space_group_name_H-M 'C 1 m 1'
_symmetry_Int_Tables_number 8
_cell_length_a 11.725
_cell_length_b 3.668
_cell_length_c 8.830
_cell_angle_alpha 90.00
_cell_angle_beta 103.99
_cell_angle_gamma 90.00
loop_
_symmetry_equiv_pos_as_xyz
'x,y,z'
'x,-y,z'
'x+1/2,y+1/2,z'
'x+1/2,-y+1/2,z'
loop_
_atom_site_label
_atom_site_type_symbol
_atom_site_fract_x
_atom_site_fract_y
_atom_site_fract_z
_atom_site_occupancy
Y1 Y 0.000 0.000 0.000 1
Y2 Y 0.056 0.000 0.417 1
Y3 Y 0.184 0.500 0.795 1
Y4 Y 0.302 0.000 0.160 1
Y5 Y 0.394 0.000 0.668 1
Br1 Br 0.277 0.500 0.416 1
```

Most intense lines, 2θ from 15° to 90°, by intensity:
index  Position (°2θ)  I/Imax
1 1 -2  31.8  100
3 1 0  34.0  53
4 0 -1  30.6  43
2 0 2  29.0  38
3 1 1  37.3  30
2 0 -3  31.5  27